# Ca2Hg2Pb3
Calculated powder X-ray diffraction pattern, a wavelength of 1.5418 Å. Input: the PBE geometry in Alexandria.
Lines closer than 0.1° are merged.

Cell and atoms:
```
data_Ca2Hg2Pb3
_chemical_formula_sum 'Ca4 Hg4 Pb6'
_space_group_name_H-M_alt 'C m m m'
_space_group_IT_number 65
_space_group_name_Hall '-C 2 2'
_cell_length_a 4.912
_cell_length_b 22.560
_cell_length_c 3.687
_cell_angle_alpha 90.00
_cell_angle_beta 90.00
_cell_angle_gamma 90.00
loop_
_atom_site_label
_atom_site_fract_x
_atom_site_fract_y
_atom_site_fract_z
Ca1 0.000 0.160 0.000
Hg1 0.000 0.285 0.500
Pb1 0.000 0.000 0.000
Pb2 0.000 0.424 0.500
```

The 8 most intense peaks (15 to 90 degrees two-theta), by intensity:
| (hkl) | Position (°2θ) | intensity |
| --- | --- | --- |
| 1 1 1 | 30.58 | 100 |
| 1 7 0 | 33.25 | 94 |
| 0 6 1 | 34.06 | 46 |
| 2 0 0 | 36.59 | 38 |
| 1 7 2 | 60.89 | 34 |
| 2 6 1 | 50.84 | 30 |
| 1 7 1 | 41.51 | 26 |
| 0 0 1 | 24.14 | 24 |

---

# Ca3Hg3Pb4
Calculated powder X-ray diffraction pattern, a wavelength of 1.5418 Å. Input: the PBE geometry in Alexandria.
Lines closer than 0.1° are merged.

Cell and atoms:
```
data_Ca3Hg3Pb4
_chemical_formula_sum 'Ca12 Hg12 Pb16'
_space_group_name_H-M_alt 'I -4 3 d'
_space_group_IT_number 220
_space_group_name_Hall 'I -4bd 2c 3'
_cell_length_a 10.601
_cell_length_b 10.601
_cell_length_c 10.601
_cell_angle_alpha 90.00
_cell_angle_beta 90.00
_cell_angle_gamma 90.00
loop_
_atom_site_label
_atom_site_fract_x
_atom_site_fract_y
_atom_site_fract_z
Ca1 0.000 0.250 0.375
Hg1 0.000 0.250 0.875
Pb1 0.103 0.103 0.103
```

The 8 most intense peaks (15 to 90 degrees two-theta), by intensity:
| (hkl) | Position (°2θ) | intensity |
| --- | --- | --- |
| 3 2 1 | 31.58 | 100 |
| 2 1 1 | 20.52 | 45 |
| 5 1 0 | 43.53 | 30 |
| 5 2 1 | 46.94 | 22 |
| 4 2 0 | 37.96 | 18 |
| 6 3 1 | 59.10 | 15 |
| 4 2 2 | 41.74 | 12 |
| 4 4 4 | 60.50 | 10 |

---

# CaHgPb3
Calculated powder X-ray diffraction pattern, a wavelength of 1.5418 Å. Input: the PBE geometry in Alexandria.
Lines closer than 0.1° are merged.

Cell and atoms:
```
data_CaHgPb3
_chemical_formula_sum 'Ca4 Hg4 Pb12'
_space_group_name_H-M_alt 'I m a 2'
_space_group_IT_number 46
_space_group_name_Hall 'I 2 -2a'
_cell_length_a 9.682
_cell_length_b 10.001
_cell_length_c 6.812
_cell_angle_alpha 90.00
_cell_angle_beta 90.00
_cell_angle_gamma 90.00
loop_
_atom_site_label
_atom_site_fract_x
_atom_site_fract_y
_atom_site_fract_z
Ca1 0.250 0.019 0.000
Hg1 0.250 0.749 0.248
Pb1 0.056 0.250 0.250
Pb2 0.250 0.035 0.500
```

The 8 most intense peaks (15 to 90 degrees two-theta), by intensity:
| (hkl) | Position (°2θ) | intensity |
| --- | --- | --- |
| 0 2 2 | 31.79 | 100 |
| 3 1 2 | 39.51 | 62 |
| 3 1 0 | 29.07 | 46 |
| 3 3 0 | 38.84 | 42 |
| 0 2 0 | 17.74 | 41 |
| 0 4 0 | 35.92 | 32 |
| 2 2 0 | 25.61 | 28 |
| 3 5 2 | 60.90 | 27 |

---

# CaHg4Pb
Calculated powder X-ray diffraction pattern, a wavelength of 1.5418 Å. Input: the PBE geometry in Alexandria.
Lines closer than 0.1° are merged.

Cell and atoms:
```
data_CaHg4Pb
_chemical_formula_sum 'Ca4 Hg16 Pb4'
_space_group_name_H-M_alt 'F -4 3 m'
_space_group_IT_number 216
_space_group_name_Hall 'F -4 2 3'
_cell_length_a 8.638
_cell_length_b 8.638
_cell_length_c 8.638
_cell_angle_alpha 90.00
_cell_angle_beta 90.00
_cell_angle_gamma 90.00
loop_
_atom_site_label
_atom_site_fract_x
_atom_site_fract_y
_atom_site_fract_z
Ca1 0.000 0.000 0.000
Hg1 0.125 0.125 0.625
Pb1 0.250 0.250 0.250
```

The 8 most intense peaks (15 to 90 degrees two-theta), by intensity:
| (hkl) | Position (°2θ) | intensity |
| --- | --- | --- |
| 3 1 1 | 34.44 | 100 |
| 2 2 2 | 36.02 | 58 |
| 5 1 1 | 55.26 | 35 |
| 4 4 0 | 60.65 | 32 |
| 1 1 1 | 17.79 | 30 |
| 7 3 1 | 86.56 | 24 |
| 6 2 2 | 72.60 | 23 |
| 2 2 0 | 29.24 | 14 |

---

# CaHgPb6
Calculated powder X-ray diffraction pattern, a wavelength of 1.5418 Å. Input: the PBE geometry in Alexandria.
Lines closer than 0.1° are merged.

Cell and atoms:
```
data_CaHgPb6
_chemical_formula_sum 'Ca2 Hg2 Pb12'
_space_group_name_H-M_alt 'C m m m'
_space_group_IT_number 65
_space_group_name_Hall '-C 2 2'
_cell_length_a 9.782
_cell_length_b 10.047
_cell_length_c 4.911
_cell_angle_alpha 90.00
_cell_angle_beta 90.00
_cell_angle_gamma 90.00
loop_
_atom_site_label
_atom_site_fract_x
_atom_site_fract_y
_atom_site_fract_z
Ca1 0.000 0.000 0.000
Hg1 0.000 0.500 0.000
Pb1 0.000 0.251 0.500
Pb2 0.233 0.500 0.500
Pb3 0.250 0.250 0.000
```

The 8 most intense peaks (15 to 90 degrees two-theta), by intensity:
| (hkl) | Position (°2θ) | intensity |
| --- | --- | --- |
| 2 2 1 | 31.36 | 100 |
| 0 4 0 | 35.75 | 18 |
| 0 0 2 | 36.60 | 17 |
| 4 0 0 | 36.75 | 16 |
| 2 6 1 | 61.51 | 15 |
| 2 2 3 | 62.64 | 14 |
| 6 2 1 | 62.84 | 13 |
| 0 4 2 | 52.09 | 13 |

---

# RbCa2Hg2Pb2
Calculated powder X-ray diffraction pattern, a wavelength of 1.5418 Å. Input: the PBE geometry in Alexandria.
Lines closer than 0.1° are merged.

Cell and atoms:
```
data_RbCa2Hg2Pb2
_chemical_formula_sum 'Rb3 Ca6 Hg6 Pb6'
_space_group_name_H-M_alt 'R -3 m'
_space_group_IT_number 166
_space_group_name_Hall '-R 3 2"'
_cell_length_a 5.2305
_cell_length_b 5.2305
_cell_length_c 31.1128
_cell_angle_alpha 90.00
_cell_angle_beta 90.00
_cell_angle_gamma 120.00
loop_
_atom_site_label
_atom_site_fract_x
_atom_site_fract_y
_atom_site_fract_z
Rb1 0.0000 0.0000 0.0000
Ca1 0.0000 0.0000 0.1355
Hg1 0.0000 0.0000 0.4463
Pb1 0.0000 0.0000 0.2488
```

The 8 most intense peaks (15 to 90 degrees two-theta), by intensity:
| (hkl) | Position (°2θ) | intensity |
| --- | --- | --- |
| 1 1 0 | 34.29 | 100 |
| 1 0 4 | 22.72 | 72 |
| 1 0 10 | 34.99 | 57 |
| 0 0 6 | 17.10 | 39 |
| 1 1 6 | 38.56 | 33 |
| 1 0 7 | 28.13 | 32 |
| 1 1 9 | 43.39 | 30 |
| 2 1 10 | 61.85 | 23 |